No. 1
Structure and calculated PXRD pattern of Zn2Mo2O5 (a PBE+U-relaxed structure; λ = 1.5418 Å (Cu Kα)).
Intensities are scaled so that the largest is 100.

Top 6 peaks for 2θ = 10–90°, low angle first:
2θ (°)	Rel. int.	h k l
20.5	25.9	0 1 2
28.7	48.6	0 1 4
28.9	41.3	1 0 2
33.7	100.0	1 1 2
34.7	36.5	0 2 1
47.4	27.2	1 2 3

Cell and atoms:
Cell: 3.368 5.237 15.504 Å, 90.00 90.00 90.00°
Space group Pmc2_1 (No. 26)
Inequivalent atoms, fractional coordinates:
Zn  0.000  0.076  0.000
Zn  0.000  0.397  0.609
Mo  0.500  0.097  0.196
Mo  0.500  0.437  0.397
O  0.000  0.230  0.121
O  0.000  0.300  0.459
O  0.500  0.218  0.949
O  0.500  0.220  0.612
O  0.500  0.424  0.279



No. 2
Structure and calculated PXRD pattern of Zn3MoO3 (a PBE+U-relaxed structure; λ = 1.5418 Å (Cu Kα)).
Intensities are scaled so that the largest is 100.

Top 6 peaks for 2θ = 10–90°, low angle first:
2θ (°)	Rel. int.	h k l
30.8	44.9	2 0 0
34.5	45.4	2 1 0
37.9	100.0	2 1 1
59.5	49.3	3 2 1
64.1	18.0	4 0 0
72.8	13.2	4 2 0

Cell and atoms:
Cell: 5.813 5.813 5.813 Å, 90.00 90.00 90.00°
Space group Pm-3n (No. 223)
Inequivalent atoms, fractional coordinates:
Zn  0.000  0.250  0.500
Mo  0.000  0.000  0.000
O  0.000  0.500  0.250



No. 3
Structure and calculated PXRD pattern of ZnMo2O6 (a PBE+U-relaxed structure; λ = 1.5418 Å (Cu Kα)).
Intensities are scaled so that the largest is 100.

Top 6 peaks for 2θ = 10–90°, low angle first:
2θ (°)	Rel. int.	h k l
23.2	100.0	0 0 2
32.4	33.1	0 2 0
32.9	66.8	1 1 1
33.3	62.8	1 1 -3
33.7	30.2	2 0 -2
47.5	57.8	0 0 4

Cell and atoms:
Cell: 5.323 5.528 9.249 Å, 90.00 124.16 90.00°
Space group Pc (No. 7)
Inequivalent atoms, fractional coordinates:
Zn  0.000  0.198  0.000
Mo  0.252  0.242  0.751
Mo  0.739  0.275  0.251
O  0.006  0.069  0.199
O  0.074  0.270  0.510
O  0.365  0.228  0.002
O  0.493  0.465  0.304
O  0.618  0.050  0.809
O  0.899  0.456  0.716



No. 4
Structure and calculated PXRD pattern of ZnMo2O4 (a PBE+U-relaxed structure; λ = 1.5418 Å (Cu Kα)).
Intensities are scaled so that the largest is 100.

Top 6 peaks for 2θ = 10–90°, low angle first:
2θ (°)	Rel. int.	h k l
27.8	55.9	1 1 2
31.4	29.9	0 1 3
31.6	51.3	1 0 3
33.9	100.0	1 2 1
34.3	72.5	2 1 1
57.4	69.6	2 2 4

Cell and atoms:
Cell: 6.039 6.174 9.622 Å, 90.00 90.00 90.00°
Space group Imma (No. 74)
Inequivalent atoms, fractional coordinates:
Zn  0.250  0.250  0.250
Mo  0.000  0.000  0.000
Mo  0.000  0.250  0.630
O  0.000  0.000  0.224
O  0.249  0.250  0.476



No. 5
Structure and calculated PXRD pattern of ZrMo2O8 (a PBE+U-relaxed structure; λ = 1.5418 Å (Cu Kα)).
Intensities are scaled so that the largest is 100.

Top 6 peaks for 2θ = 10–90°, low angle first:
2θ (°)	Rel. int.	h k l
15.2	49.6	0 1 1
19.0	56.5	1 1 0
21.2	100.0	1 1 1
22.5	75.2	0 1 2
27.0	43.5	1 1 2
29.8	78.5	2 0 0

Cell and atoms:
Cell: 5.994 7.485 9.334 Å, 90.00 90.00 90.00°
Space group Pmn2_1 (No. 31)
Inequivalent atoms, fractional coordinates:
Zr  0.000  0.239  0.000
Mo  0.000  0.074  0.400
Mo  0.000  0.546  0.676
O  0.000  0.126  0.210
O  0.000  0.270  0.499
O  0.000  0.351  0.797
O  0.000  0.724  0.793
O  0.244  0.942  0.445
O  0.245  0.419  0.073